# 1
For Pr4CI2N, a crystal structure in OQMD, relaxed with GGA-PBE gives the computed PXRD pattern in this record (Cu Kα X-rays).

The 6 most intense peaks (5° ≤ 2θ ≤ 70°), sorted by position:
| d_spacing | I/Imax |
| --- | --- |
| 3.350 | 23.4 |
| 2.811 | 100.0 |
| 2.584 | 16.2 |
| 1.934 | 23.8 |
| 1.593 | 18.0 |
| 1.548 | 20.5 |

Unit cell a=3.868 b=3.868 c=15.504 alpha=90.00 beta=90.00 gamma=120.00
Sites, in units of the cell vectors:
Pr1 0.333 0.667 0.084
Pr2 0.333 0.667 0.411
Pr3 0.667 0.333 0.589
Pr4 0.667 0.333 0.916
C1 0.000 0.000 0.500
I1 0.333 0.667 0.756
I2 0.667 0.333 0.244
N1 0.000 0.000 0.000

# 2
For Rb2PtC4I2N4, a crystal structure in OQMD, relaxed with GGA-PBE gives the computed PXRD pattern in this record (Cu Kα X-rays).

The 6 most intense peaks (5° ≤ 2θ ≤ 70°), sorted by position:
| d_spacing | I/Imax |
| --- | --- |
| 7.109 | 95.0 |
| 5.340 | 65.0 |
| 4.356 | 99.3 |
| 4.325 | 100.0 |
| 3.114 | 77.5 |
| 2.915 | 89.4 |

Unit cell a=7.439 b=9.278 c=9.117 alpha=90.00 beta=107.13 gamma=90.00
Sites, in units of the cell vectors:
Rb1 0.023 0.218 0.382
Rb2 0.023 0.282 0.882
Rb3 0.977 0.718 0.118
Rb4 0.977 0.782 0.618
Pt1 0.500 0.000 0.000
Pt2 0.500 0.500 0.500
C1 0.301 0.033 0.105
C2 0.301 0.467 0.605
C3 0.307 0.040 0.798
C4 0.307 0.460 0.298
C5 0.693 0.540 0.702
C6 0.693 0.960 0.202
C7 0.699 0.533 0.395
C8 0.699 0.967 0.895
I1 0.409 0.715 0.970
I2 0.409 0.785 0.470
I3 0.591 0.215 0.530
I4 0.591 0.285 0.030
N1 0.179 0.053 0.160
N2 0.179 0.447 0.660
N3 0.189 0.065 0.684
N4 0.189 0.435 0.184
N5 0.811 0.565 0.816
N6 0.811 0.935 0.316
N7 0.821 0.553 0.340
N8 0.821 0.947 0.840

# 3
For TbNbC2I2, a crystal structure in OQMD, relaxed with GGA-PBE gives the computed PXRD pattern in this record (Cu Kα X-rays).

The 6 most intense peaks (5° ≤ 2θ ≤ 70°), sorted by position:
| d_spacing | I/Imax |
| --- | --- |
| 10.815 | 100.0 |
| 3.279 | 47.0 |
| 3.065 | 75.9 |
| 2.768 | 93.7 |
| 2.460 | 54.2 |
| 1.998 | 44.4 |

Unit cell a=7.141 b=3.693 c=10.837 alpha=90.00 beta=93.60 gamma=90.00
Sites, in units of the cell vectors:
Tb1 0.000 0.000 0.000
Tb2 0.500 0.500 0.000
Nb1 0.202 0.500 0.772
Nb2 0.702 0.000 0.772
C1 0.281 0.000 0.901
C2 0.443 0.000 0.839
C3 0.781 0.500 0.901
C4 0.943 0.500 0.839
I1 0.039 0.000 0.583
I2 0.183 0.500 0.202
I3 0.539 0.500 0.583
I4 0.683 0.000 0.202

# 4
For Nd2Sm2CI5, a crystal structure in OQMD, relaxed with GGA-PBE gives the computed PXRD pattern in this record (Cu Kα X-rays).

The 6 most intense peaks (5° ≤ 2θ ≤ 70°), sorted by position:
| d_spacing | I/Imax |
| --- | --- |
| 8.625 | 24.8 |
| 3.148 | 42.6 |
| 3.000 | 100.0 |
| 2.773 | 33.8 |
| 2.179 | 26.2 |
| 2.165 | 25.6 |

Unit cell a=9.891 b=9.891 c=8.839 alpha=102.38 beta=102.38 gamma=23.84
Sites, in units of the cell vectors:
Nd1 0.001 0.001 0.306
Nd2 0.999 0.999 0.694
Sm1 0.368 0.368 0.434
Sm2 0.632 0.632 0.566
C1 0.500 0.500 0.500
I1 0.165 0.165 0.840
I2 0.171 0.171 0.325
I3 0.500 0.500 0.000
I4 0.829 0.829 0.675
I5 0.835 0.835 0.160

# 5
For Nd2Sm2C2I5, a crystal structure in OQMD, relaxed with GGA-PBE gives the computed PXRD pattern in this record (Cu Kα X-rays).

The 6 most intense peaks (5° ≤ 2θ ≤ 70°), sorted by position:
| d_spacing | I/Imax |
| --- | --- |
| 8.548 | 20.8 |
| 3.330 | 24.6 |
| 3.272 | 66.1 |
| 3.072 | 24.0 |
| 2.973 | 100.0 |
| 2.200 | 74.0 |

Unit cell a=10.266 b=10.266 c=8.763 alpha=102.48 beta=102.48 gamma=22.74
Sites, in units of the cell vectors:
Nd1 0.000 0.000 0.191
Nd2 0.000 0.000 0.809
Sm1 0.350 0.350 0.920
Sm2 0.650 0.650 0.080
C1 0.464 0.464 0.982
C2 0.536 0.536 0.018
I1 0.162 0.162 0.354
I2 0.168 0.168 0.816
I3 0.500 0.500 0.500
I4 0.832 0.832 0.184
I5 0.838 0.838 0.646

# 6
For Nd2Sm2C2I5, a crystal structure in OQMD, relaxed with GGA-PBE gives the computed PXRD pattern in this record (Cu Kα X-rays).

The 6 most intense peaks (5° ≤ 2θ ≤ 70°), sorted by position:
| d_spacing | I/Imax |
| --- | --- |
| 3.317 | 28.6 |
| 3.264 | 70.4 |
| 3.054 | 25.9 |
| 2.962 | 100.0 |
| 2.201 | 35.9 |
| 2.187 | 51.0 |

Unit cell a=10.255 b=10.255 c=8.760 alpha=102.92 beta=102.92 gamma=22.61
Sites, in units of the cell vectors:
Nd1 0.152 0.152 0.081
Nd2 0.848 0.848 0.919
Sm1 0.500 0.500 0.188
Sm2 0.500 0.500 0.812
C1 0.036 0.036 0.018
C2 0.964 0.964 0.982
I1 0.000 0.000 0.500
I2 0.334 0.334 0.192
I3 0.340 0.340 0.641
I4 0.660 0.660 0.359
I5 0.666 0.666 0.808

# 7
For OsC3IO3, a crystal structure in OQMD, relaxed with GGA-PBE gives the computed PXRD pattern in this record (Cu Kα X-rays).

The 6 most intense peaks (5° ≤ 2θ ≤ 70°), sorted by position:
| d_spacing | I/Imax |
| --- | --- |
| 6.920 | 55.6 |
| 6.344 | 100.0 |
| 5.719 | 89.4 |
| 4.766 | 34.6 |
| 4.660 | 49.4 |
| 2.795 | 58.5 |

Unit cell a=6.282 b=13.840 c=7.139 alpha=90.00 beta=91.22 gamma=90.00
Sites, in units of the cell vectors:
Os1 0.248 0.150 0.218
Os2 0.248 0.350 0.218
Os3 0.752 0.650 0.782
Os4 0.752 0.850 0.782
C1 0.109 0.028 0.245
C2 0.109 0.472 0.245
C3 0.381 0.125 0.989
C4 0.381 0.375 0.989
C5 0.498 0.118 0.353
C6 0.498 0.382 0.353
C7 0.502 0.618 0.647
C8 0.502 0.882 0.647
C9 0.619 0.625 0.011
C10 0.619 0.875 0.011
C11 0.891 0.528 0.755
C12 0.891 0.972 0.755
I1 0.077 0.750 0.963
I2 0.104 0.250 0.523
I3 0.896 0.750 0.477
I4 0.923 0.250 0.037
O1 0.023 0.546 0.255
O2 0.023 0.954 0.255
O3 0.347 0.596 0.565
O4 0.347 0.904 0.565
O5 0.468 0.108 0.851
O6 0.468 0.392 0.851
O7 0.532 0.608 0.149
O8 0.532 0.892 0.149
O9 0.653 0.096 0.435
O10 0.653 0.404 0.435
O11 0.977 0.046 0.745
O12 0.977 0.454 0.745

# 8
For Re2C3I4O3, a crystal structure in OQMD, relaxed with GGA-PBE gives the computed PXRD pattern in this record (Cu Kα X-rays).

The 6 most intense peaks (5° ≤ 2θ ≤ 70°), sorted by position:
| d_spacing | I/Imax |
| --- | --- |
| 11.173 | 100.0 |
| 6.963 | 66.3 |
| 6.724 | 40.4 |
| 6.328 | 25.3 |
| 3.132 | 24.2 |
| 2.710 | 25.2 |

Unit cell a=12.054 b=12.054 c=12.727 alpha=95.66 beta=95.66 gamma=42.45
Sites, in units of the cell vectors:
Re1 0.129 0.856 0.835
Re2 0.144 0.871 0.665
Re3 0.181 0.497 0.745
Re4 0.497 0.181 0.245
Re5 0.503 0.819 0.755
Re6 0.819 0.503 0.255
Re7 0.856 0.129 0.335
Re8 0.871 0.144 0.165
C1 0.047 0.487 0.663
C2 0.182 0.408 0.862
C3 0.282 0.375 0.193
C4 0.375 0.282 0.693
C5 0.408 0.182 0.362
C6 0.487 0.047 0.163
C7 0.513 0.953 0.837
C8 0.592 0.818 0.638
C9 0.625 0.718 0.307
C10 0.718 0.625 0.807
C11 0.818 0.592 0.138
C12 0.953 0.513 0.337
I1 0.076 0.175 0.173
I2 0.121 0.829 0.104
I3 0.158 0.647 0.574
I4 0.171 0.879 0.396
I5 0.175 0.076 0.673
I6 0.353 0.842 0.926
I7 0.372 0.523 0.863
I8 0.477 0.628 0.637
I9 0.523 0.372 0.363
I10 0.628 0.477 0.137
I11 0.647 0.158 0.074
I12 0.825 0.924 0.327
I13 0.829 0.121 0.604
I14 0.842 0.353 0.426
I15 0.879 0.171 0.896
I16 0.924 0.825 0.827
O1 0.031 0.525 0.386
O2 0.152 0.495 0.162
O3 0.182 0.353 0.933
O4 0.353 0.182 0.433
O5 0.475 0.969 0.114
O6 0.495 0.152 0.662
O7 0.505 0.848 0.338
O8 0.525 0.031 0.886
O9 0.647 0.818 0.567
O10 0.818 0.647 0.067
O11 0.848 0.505 0.838
O12 0.969 0.475 0.614

- Number 2 is which compound?
  Rb2PtC4I2N4

Copy entry 4 word for word.
For Nd2Sm2CI5, a crystal structure in OQMD, relaxed with GGA-PBE gives the computed PXRD pattern in this record (Cu Kα X-rays).

The 6 most intense peaks (5° ≤ 2θ ≤ 70°), sorted by position:
| d_spacing | I/Imax |
| --- | --- |
| 8.625 | 24.8 |
| 3.148 | 42.6 |
| 3.000 | 100.0 |
| 2.773 | 33.8 |
| 2.179 | 26.2 |
| 2.165 | 25.6 |

Unit cell a=9.891 b=9.891 c=8.839 alpha=102.38 beta=102.38 gamma=23.84
Sites, in units of the cell vectors:
Nd1 0.001 0.001 0.306
Nd2 0.999 0.999 0.694
Sm1 0.368 0.368 0.434
Sm2 0.632 0.632 0.566
C1 0.500 0.500 0.500
I1 0.165 0.165 0.840
I2 0.171 0.171 0.325
I3 0.500 0.500 0.000
I4 0.829 0.829 0.675
I5 0.835 0.835 0.160